Simulated X-ray powder pattern
Compound: PdPt2O4
Radiation: Cu Kα X-rays
Structure: a structure optimized by DFT (GGA-PBE)
Intensities are scaled so that the largest is 100.

Cell lengths 4.684, 4.684, 8.718 Å; angles 90.00, 90.00, 105.33 degrees
Element x y z (fractional)
1 Pd 0.000 0.000 0.250
2 Pd 0.000 0.000 0.750
3 Pt 0.271 0.656 0.000
4 Pt 0.344 0.729 0.500
5 Pt 0.656 0.271 0.500
6 Pt 0.729 0.344 0.000
7 O 0.000 0.500 0.184
8 O 0.000 0.500 0.816
9 O 0.155 0.304 0.500
10 O 0.304 0.155 0.000
11 O 0.500 0.000 0.316
12 O 0.500 0.000 0.684
13 O 0.696 0.845 0.000
14 O 0.845 0.696 0.500

Most intense lines, 2θ from 10° to 90°, low angle first:
d [Å]	2theta	intensity
4.359	20.37	81
3.137	28.45	100
2.841	31.49	50
2.832	31.60	84
2.275	39.61	71
2.179	41.43	44
2.006	45.21	83
1.729	52.95	29
1.574	58.66	46
1.368	68.59	33